(1)
Tb2In16Pt7: simulated powder XRD pattern (a wavelength of 1.5418 Å), based on a structure optimized by DFT (PBE).

Crystal structure
Cell lengths 12.2818, 20.3095, 4.4754 Å; angles 90.00, 90.00, 90.00 degrees
Space group Cmmm (No. 65)
One atom of each set of equivalent atoms:
1 Tb 0.1696 0.0000 0.0000 (multiplicity 4)
2 In 0.0000 0.0730 0.5000 (multiplicity 4)
3 In 0.1244 0.1624 0.0000 (multiplicity 8)
4 In 0.1307 0.3868 0.0000 (multiplicity 8)
5 In 0.1316 0.5000 0.5000 (multiplicity 4)
6 In 0.1349 0.2773 0.5000 (multiplicity 8)
7 Pt 0.0000 0.2755 0.0000 (multiplicity 4)
8 Pt 0.0000 0.5000 0.0000 (multiplicity 2)
9 Pt 0.2242 0.1077 0.5000 (multiplicity 8)

Largest 6 diffraction maxima, sorted by position, 2θ = 10–90°:
d = 3.913 Å, 22.72 deg, rel. 32, (2 4 0); d = 3.617 Å, 24.61 deg, rel. 30, (2 0 1); d = 2.700 Å, 33.18 deg, rel. 24, (0 6 1); d = 2.424 Å, 37.09 deg, rel. 85, (3 5 1); d = 2.266 Å, 39.78 deg, rel. 100, (4 4 1); d = 2.238 Å, 40.30 deg, rel. 58, (0 0 2)



(2)
Tb4In3Pt: simulated powder XRD pattern (a wavelength of 1.5418 Å), based on a structure optimized by DFT (PBE).

Crystal structure
Cell lengths 3.5951, 3.5951, 15.8134 Å; angles 90.00, 90.00, 90.00 degrees
Space group P4/mmm (No. 123)
One atom of each set of equivalent atoms:
1 Tb 0.0000 0.0000 0.1054 (multiplicity 2)
2 Tb 0.0000 0.0000 0.3686 (multiplicity 2)
3 In 0.5000 0.5000 0.2397 (multiplicity 2)
4 In 0.5000 0.5000 0.5000 (multiplicity 1)
5 Pt 0.5000 0.5000 0.0000 (multiplicity 1)

Largest 6 diffraction maxima, sorted by position, 2θ = 10–90°:
d = 2.660 Å, 33.70 deg, rel. 100, (1 0 4); d = 2.542 Å, 35.31 deg, rel. 48, (1 1 0); d = 1.798 Å, 50.79 deg, rel. 17, (2 0 0); d = 1.560 Å, 59.21 deg, rel. 15, (1 1 8); d = 1.489 Å, 62.35 deg, rel. 34, (2 1 4); d = 1.330 Å, 70.86 deg, rel. 9, (2 0 8)



(3)
Tb3In12Pt4: simulated powder XRD pattern (a wavelength of 1.5418 Å), based on a structure optimized by DFT (PBE).

Crystal structure
Cell lengths 10.0255, 10.0255, 15.4488 Å; angles 90.00, 90.00, 120.00 degrees
Space group P-3m1 (No. 164)
One atom of each set of equivalent atoms:
1 Tb 0.0000 0.0000 0.0000 (multiplicity 1)
2 Tb 0.0111 0.5056 0.1948 (multiplicity 6)
3 Tb 0.3333 0.6667 0.5138 (multiplicity 2)
4 In 0.0000 0.0000 0.3741 (multiplicity 2)
5 In 0.0000 0.2875 0.5000 (multiplicity 6)
6 In 0.0000 0.3505 0.0000 (multiplicity 6)
7 In 0.1205 0.2409 0.1747 (multiplicity 6)
8 In 0.2114 0.4227 0.6858 (multiplicity 6)
9 In 0.2224 0.4447 0.3312 (multiplicity 6)
10 In 0.3333 0.6667 0.0880 (multiplicity 2)
11 In 0.3333 0.6667 0.8854 (multiplicity 2)
12 Pt 0.0112 0.5056 0.6114 (multiplicity 6)
13 Pt 0.1730 0.3460 0.8613 (multiplicity 6)

Largest 6 diffraction maxima, sorted by position, 2θ = 10–90°:
d = 2.767 Å, 32.35 deg, rel. 51, (2 1 3); d = 2.710 Å, 33.05 deg, rel. 84, (0 3 2); d = 2.517 Å, 35.67 deg, rel. 100, (0 2 5); d = 2.506 Å, 35.83 deg, rel. 70, (2 2 0); d = 2.102 Å, 43.02 deg, rel. 38, (2 2 4); d = 1.449 Å, 64.28 deg, rel. 35, (2 4 5)